The following is a computed powder diffraction line list of Ba3TmCr2O9. It was derived from a crystal structure in Alexandria, relaxed with PBE+U, using Cu Kα X-rays.

Main lines, sorted by position (15 to 90 degrees two-theta):
2theta, intensity, hkl
30.86, 100, 0 1 2
30.98, 94, 1 1 0
44.30, 60, 2 0 2
54.81, 18, 1 0 4
55.06, 56, 3 0 0
64.30, 17, 0 2 4
64.58, 18, 2 2 0
89.90, 21, 4 1 0

Structural model:
```
data_Ba3TmCr2O9
_chemical_formula_sum 'Ba3 Tm1 Cr2 O9'
_space_group_name_H-M_alt 'P -3 m 1'
_space_group_IT_number 164
_space_group_name_Hall '-P 3 2"'
_cell_length_a 5.7724
_cell_length_b 5.7724
_cell_length_c 7.1112
_cell_angle_alpha 90.00
_cell_angle_beta 90.00
_cell_angle_gamma 120.00
loop_
_atom_site_label
_atom_site_fract_x
_atom_site_fract_y
_atom_site_fract_z
_atom_site_occupancy
Ba1 0.0000 0.0000 0.0000 1
Ba2 0.3333 0.6667 0.6779 1
Tm1 0.0000 0.0000 0.5000 1
Cr1 0.3333 0.6667 0.1640 1
O1 0.0000 0.5000 0.0000 1
O2 0.1774 0.3549 0.3161 1
```